1.
Starting from a PBE-relaxed structure, the X-ray diffraction stick pattern of NbCr3Cu2S8 was calculated for copper Kα.

Structural model:
Cell lengths 7.164, 9.840, 7.017 Å; angles 90.00, 90.00, 90.00 degrees
Element x y z (fractional)
Nb1 0.025 0.000 0.000
Nb2 0.975 0.000 0.500
Cr1 0.250 0.249 0.246
Cr2 0.250 0.751 0.754
Cr3 0.499 0.500 0.500
Cr4 0.501 0.500 0.000
Cr5 0.750 0.249 0.254
Cr6 0.750 0.751 0.746
Cu1 0.000 0.387 0.750
Cu2 0.000 0.613 0.250
Cu3 0.500 0.139 0.750
Cu4 0.500 0.861 0.250
S1 0.003 0.250 0.484
S2 0.003 0.750 0.516
S3 0.247 0.000 0.258
S4 0.247 0.000 0.742
S5 0.271 0.491 0.249
S6 0.271 0.509 0.751
S7 0.497 0.258 0.476
S8 0.497 0.742 0.524
S9 0.503 0.258 0.024
S10 0.503 0.742 0.976
S11 0.729 0.491 0.251
S12 0.729 0.509 0.749
S13 0.753 0.000 0.242
S14 0.753 0.000 0.758
S15 0.997 0.250 0.016
S16 0.997 0.750 0.984

Largest 6 diffraction maxima, sorted by position, 5 to 70 degrees two-theta:
two_theta  Rel. int.
25.4  35
29.4  42
29.8  60
30.0  31
35.8  43
52.1  100



2.
Starting from a PBE-relaxed structure, the X-ray diffraction stick pattern of ZrNi2 was calculated for copper Kα.

Structural model:
Cell lengths 4.927, 4.927, 4.927 Å; angles 60.00, 60.00, 60.00 degrees
Element x y z (fractional)
Zr1 0.125 0.125 0.125
Zr2 0.875 0.875 0.875
Ni1 0.000 0.500 0.500
Ni2 0.500 0.000 0.500
Ni3 0.500 0.500 0.000
Ni4 0.500 0.500 0.500

Largest 5 diffraction maxima, sorted by position, 5 to 70 degrees two-theta:
two_theta  Rel. int.
36.5  41
43.1  100
45.1  29
52.5  1
65.6  14



3.
Starting from a PBE-relaxed structure, the X-ray diffraction stick pattern of Nb5Ga3 was calculated for copper Kα.

Structural model:
Cell lengths 7.889, 7.889, 7.889 Å; angles 95.93, 95.93, 142.51 degrees
Element x y z (fractional)
Nb1 0.078 0.767 0.845
Nb2 0.233 0.078 0.311
Nb3 0.250 0.750 0.500
Nb4 0.267 0.578 0.845
Nb5 0.422 0.267 0.689
Nb6 0.578 0.733 0.311
Nb7 0.733 0.422 0.155
Nb8 0.750 0.250 0.500
Nb9 0.767 0.922 0.689
Nb10 0.922 0.233 0.155
Ga1 0.000 0.000 0.000
Ga2 0.166 0.334 0.500
Ga3 0.334 0.834 0.168
Ga4 0.500 0.500 0.000
Ga5 0.666 0.166 0.832
Ga6 0.834 0.666 0.500

Largest 6 diffraction maxima, sorted by position, 5 to 70 degrees two-theta:
two_theta  Rel. int.
35.4  79
38.1  65
39.4  100
44.9  22
49.8  21
66.3  18



4.
Starting from a PBE-relaxed structure, the X-ray diffraction stick pattern of CaBiF6 was calculated for copper Kα.

Structural model:
Cell lengths 6.141, 6.141, 6.141 Å; angles 54.37, 54.37, 54.37 degrees
Element x y z (fractional)
Ca1 0.000 0.000 0.000
Bi1 0.500 0.500 0.500
F1 0.118 0.742 0.397
F2 0.258 0.603 0.882
F3 0.397 0.118 0.742
F4 0.603 0.882 0.258
F5 0.742 0.397 0.118
F6 0.882 0.258 0.603

Largest 6 diffraction maxima, sorted by position, 5 to 70 degrees two-theta:
two_theta  Rel. int.
17.0  23
19.1  52
21.5  100
29.3  39
36.4  28
47.6  33



5.
Starting from a PBE-relaxed structure, the X-ray diffraction stick pattern of NdCoSi was calculated for copper Kα.

Structural model:
Cell lengths 4.015, 4.015, 7.121 Å; angles 90.00, 90.00, 90.00 degrees
Element x y z (fractional)
Nd1 0.250 0.250 0.187
Nd2 0.750 0.750 0.813
Co1 0.250 0.750 0.500
Co2 0.750 0.250 0.500
Si1 0.250 0.250 0.666
Si2 0.750 0.750 0.334

Largest 6 diffraction maxima, sorted by position, 5 to 70 degrees two-theta:
two_theta  Rel. int.
25.5  100
31.5  31
33.6  68
34.0  44
40.6  79
45.2  51



6.
Starting from a PBE-relaxed structure, the X-ray diffraction stick pattern of BaIn2S4 was calculated for copper Kα.

Structural model:
Cell lengths 15.690, 13.002, 12.879 Å; angles 74.64, 53.04, 52.32 degrees
Element x y z (fractional)
Ba1 0.122 0.122 0.628
Ba2 0.125 0.125 0.125
Ba3 0.372 0.372 0.878
Ba4 0.375 0.375 0.375
Ba5 0.625 0.625 0.625
Ba6 0.628 0.628 0.122
Ba7 0.875 0.875 0.875
Ba8 0.878 0.878 0.372
In1 0.036 0.464 0.857
In2 0.111 0.388 0.362
In3 0.143 0.857 0.464
In4 0.143 0.857 0.964
In5 0.361 0.638 0.612
In6 0.362 0.639 0.111
In7 0.388 0.111 0.639
In8 0.464 0.036 0.143
In9 0.536 0.964 0.857
In10 0.612 0.889 0.361
In11 0.638 0.361 0.889
In12 0.639 0.362 0.388
In13 0.857 0.143 0.036
In14 0.857 0.143 0.536
In15 0.889 0.612 0.638
In16 0.964 0.536 0.143
S1 0.083 0.084 0.417
S2 0.084 0.083 0.916
S3 0.084 0.583 0.916
S4 0.085 0.582 0.415
S5 0.153 0.345 0.157
S6 0.155 0.843 0.655
S7 0.157 0.845 0.153
S8 0.185 0.312 0.652
S9 0.312 0.185 0.351
S10 0.345 0.153 0.845
S11 0.348 0.649 0.815
S12 0.351 0.652 0.312
S13 0.415 0.417 0.085
S14 0.417 0.415 0.582
S15 0.417 0.916 0.083
S16 0.418 0.915 0.583
S17 0.582 0.085 0.417
S18 0.583 0.084 0.917
S19 0.583 0.585 0.418
S20 0.585 0.583 0.915
S21 0.649 0.348 0.688
S22 0.652 0.351 0.185
S23 0.655 0.847 0.155
S24 0.688 0.815 0.649
S25 0.815 0.688 0.348
S26 0.843 0.155 0.847
S27 0.845 0.157 0.345
S28 0.847 0.655 0.843
S29 0.915 0.418 0.585
S30 0.916 0.417 0.084
S31 0.916 0.917 0.084
S32 0.917 0.916 0.583

Largest 6 diffraction maxima, sorted by position, 5 to 70 degrees two-theta:
two_theta  Rel. int.
22.3  100
22.7  39
27.7  53
32.1  36
35.4  77
42.9  32